Record 1
Diffraction record for Mg2Sc3Al. The powder XRD pattern is theoretical, not measured: it uses a DFT-relaxed cell (PBE, Alexandria) and CuKα.
Neutral-atom scattering factors, no anomalous dispersion.

Cell and atoms:
```
6
Lattice="3.4911 0.0000 0.0000 0.0000 3.4911 0.0000 0.0000 0.0000 10.7444" Properties=species:S:1:pos:R:3 pbc="T T T"
Mg 0.0000 0.0000 1.8589
Mg 0.0000 0.0000 8.8855
Sc 1.7455 1.7455 0.0000
Sc 1.7455 1.7455 3.7311
Sc 1.7455 1.7455 7.0133
Al 0.0000 0.0000 5.3722
```

Largest 12 diffraction maxima, sorted by position, 2θ from 5° to 70°:
Position (°2θ), intensity, (hkl)
8.23, 2, 0 0 1
24.86, 5, 0 0 3
25.52, 9, 1 0 0
35.92, 100, 1 0 3
36.40, 50, 1 1 0
42.46, 1, 1 0 4
44.58, 3, 1 1 3
51.00, 8, 0 0 6
52.42, 16, 2 0 0
59.18, 1, 2 1 0
64.26, 15, 1 1 6
65.18, 31, 2 1 3

=====

Record 2
Diffraction record for InTe4Pd. The powder XRD pattern is theoretical, not measured: it uses a DFT-relaxed cell (PBE, Alexandria) and CuKα.
Neutral-atom scattering factors, no anomalous dispersion.

Cell and atoms:
```
12
Lattice="12.9476 0.0000 0.0000 0.0000 4.2305 0.0000 -4.0509 0.0000 6.1607" Properties=species:S:1:pos:R:3 pbc="T T T"
In 0.0000 0.0000 0.0000
In 6.4738 2.1153 0.0000
Te -1.3739 0.0000 4.7567
Te 0.5135 2.1153 2.0228
Te 1.9094 0.0000 4.1380
Te 3.7968 2.1153 1.4041
Te 5.0999 2.1153 4.7567
Te 6.9873 0.0000 2.0228
Te 8.3832 2.1153 4.1380
Te 10.2706 0.0000 1.4041
Pd -2.0255 2.1153 3.0804
Pd 4.4484 0.0000 3.0804
```

Largest 12 diffraction maxima, sorted by position, 2θ from 5° to 70°:
Position (°2θ), intensity, (hkl)
16.39, 9, 2 0 0
29.25, 100, 1 1 1
29.65, 54, 4 0 -2
40.91, 13, 2 0 2
41.23, 9, 3 1 1
41.72, 31, 5 1 -1
42.55, 35, 3 1 -3
42.75, 20, 0 2 0
52.04, 7, 2 0 -4
52.89, 19, 4 2 -2
60.66, 8, 2 2 2
69.53, 9, 8 0 0

=====

Record 3
Diffraction record for Dy4Mg5Hg2. The powder XRD pattern is theoretical, not measured: it uses a DFT-relaxed cell (PBE, Alexandria) and CuKα.
Neutral-atom scattering factors, no anomalous dispersion.

Cell and atoms:
```
11
Lattice="7.9686 0.0000 0.0000 0.0000 3.4939 0.0000 -0.6436 0.0000 10.4153" Properties=species:S:1:pos:R:3 pbc="T T T"
Dy 1.0219 0.0000 3.9716
Dy 1.5025 0.0000 9.8673
Dy 5.8225 0.0000 0.5481
Dy 6.3031 0.0000 6.4437
Mg 1.1585 1.7469 6.9192
Mg 3.3550 1.7469 2.1234
Mg 3.6625 1.7469 5.2077
Mg 3.9700 1.7469 8.2919
Mg 6.1665 1.7469 3.4961
Hg 0.3929 1.7469 1.4819
Hg 6.9321 1.7469 8.9334
```

Largest 12 diffraction maxima, sorted by position, 2θ from 5° to 70°:
Position (°2θ), intensity, (hkl)
8.49, 66, 0 0 1
11.12, 100, 1 0 0
29.02, 24, 1 1 -1
32.48, 30, 1 1 -2
33.23, 43, 1 1 2
34.16, 42, 2 1 0
34.40, 44, 3 0 -1
35.35, 35, 2 0 3
35.61, 49, 1 0 -4
36.48, 34, 0 1 3
37.75, 34, 2 1 -2
54.28, 21, 4 1 1

=====

Record 4
Diffraction record for YMo2H. The powder XRD pattern is theoretical, not measured: it uses a DFT-relaxed cell (PBE, Alexandria) and CuKα.
Neutral-atom scattering factors, no anomalous dispersion.

Cell and atoms:
```
16
Lattice="5.7303 0.0000 0.0000 0.0000 5.7303 0.0000 0.0000 0.0000 8.0872" Properties=species:S:1:pos:R:3 pbc="T T T"
Y 0.0000 1.4326 3.0327
Y 0.0000 4.2977 5.0545
Y 2.8652 1.4326 1.0109
Y 2.8652 4.2977 7.0763
Mo 0.0000 0.0000 0.0000
Mo 0.0000 2.8652 0.0000
Mo 1.4326 1.4326 6.0654
Mo 1.4326 4.2977 2.0218
Mo 2.8652 0.0000 4.0436
Mo 2.8652 2.8652 4.0436
Mo 4.2977 1.4326 6.0654
Mo 4.2977 4.2977 2.0218
H 0.0000 1.4326 7.0763
H 0.0000 4.2977 1.0109
H 2.8652 1.4326 5.0545
H 2.8652 4.2977 3.0327
```

Largest 11 diffraction maxima, sorted by position, 2θ from 5° to 70°:
Position (°2θ), intensity, (hkl)
18.98, 9, 1 0 1
31.24, 26, 2 0 0
36.81, 100, 2 1 1
38.51, 43, 2 0 2
44.76, 6, 2 2 0
49.03, 2, 3 0 1
55.60, 9, 3 1 2
59.27, 24, 3 2 1
59.37, 8, 1 0 5
65.16, 28, 4 0 0
68.52, 1, 4 1 1

=====

Record 5
Diffraction record for Mo2WSe2S4. The powder XRD pattern is theoretical, not measured: it uses a DFT-relaxed cell (PBE, Alexandria) and CuKα.
Neutral-atom scattering factors, no anomalous dispersion.

Cell and atoms:
```
9
Lattice="3.2341 0.0000 0.0000 -1.6171 2.8009 0.0000 0.0000 0.0000 22.4688" Properties=species:S:1:pos:R:3 pbc="T T T"
Mo 0.0000 0.0000 0.0000
Mo 0.0000 1.8672 7.1593
W 0.0000 0.0000 14.4388
Se 0.0000 1.8672 12.7222
Se 0.0000 1.8672 16.1552
S 0.0000 0.0000 5.6086
S 0.0000 0.0000 8.7102
S 0.0000 1.8672 1.5508
S 0.0000 1.8672 20.9180
```

Largest 12 diffraction maxima, sorted by position, 2θ from 5° to 70°:
Position (°2θ), intensity, (hkl)
7.87, 29, 0 0 2
11.82, 100, 0 0 3
31.95, 17, 1 0 0
32.96, 6, 0 1 2
34.18, 16, 0 1 3
35.82, 9, 1 0 4
37.85, 34, 1 0 5
40.20, 12, 0 1 6
42.85, 6, 1 0 7
45.75, 28, 0 1 8
56.95, 13, 1 1 0
58.38, 10, 1 1 3